# 1
This entry pairs a crystal structure of Nd7AsSe5 with its calculated powder diffractogram. Radiation: Cu Kα (λ = 1.5418 Å). Structure: a PBE-relaxed structure.
Peak positions follow from Bragg's law for the DFT cell and can differ from measured ones.

Principal peaks in the range 5 to 70 degrees two-theta, in order of falling intensity:
- 29.8 deg, d 2.995, intensity 100
- 28.0 deg, d 3.183, intensity 74
- 30.9 deg, d 2.894, intensity 63
- 43.2 deg, d 2.094, intensity 58
- 31.3 deg, d 2.857, intensity 42
- 43.6 deg, d 2.074, intensity 37
- 39.5 deg, d 2.282, intensity 34
- 29.2 deg, d 3.061, intensity 32
- 42.6 deg, d 2.121, intensity 32
- 52.7 deg, d 1.737, intensity 26

Crystal structure
```
Nd7AsSe5
1.0
6.9213 -2.0737 0.0000
6.9213 2.0737 0.0000
-0.0106 0.0000 25.0893
Nd As Se
14 2 10
Cartesian
0.0000 0.0000 0.0000
0.2778 0.0000 3.4806
2.2254 0.0000 19.5742
2.5906 0.0000 8.9272
3.8319 0.0000 1.7946
4.8295 0.0000 14.3406
6.0626 0.0000 21.4727
6.4260 0.0000 7.0284
8.3760 0.0000 16.0251
8.6629 0.0000 12.5422
9.8178 0.0000 23.5636
10.2776 0.0000 5.3090
12.2137 0.0000 17.8612
12.6764 0.0000 11.0147
0.0415 0.0000 13.9700
8.6194 0.0000 1.4346
1.0854 0.0000 22.3667
1.4261 0.0000 6.1897
3.4022 0.0000 16.8969
3.7281 0.0000 11.6436
4.9253 0.0000 24.1886
5.2507 0.0000 4.3523
7.2259 0.0000 18.7341
7.5670 0.0000 9.8200
11.0185 0.0000 20.6318
11.4743 0.0000 8.0818
```

---

# 2
This entry pairs a crystal structure of Nd4As2Se with its calculated powder diffractogram. Radiation: Cu Kα (λ = 1.5418 Å). Structure: a PBE-relaxed structure.
Peak positions follow from Bragg's law for the DFT cell and can differ from measured ones.

Principal peaks in the range 5 to 70 degrees two-theta, in order of falling intensity:
- 27.0 deg, d 3.306, intensity 100
- 30.1 deg, d 2.967, intensity 70
- 35.9 deg, d 2.500, intensity 68
- 45.5 deg, d 1.995, intensity 47
- 30.2 deg, d 2.956, intensity 36
- 38.5 deg, d 2.336, intensity 32
- 49.6 deg, d 1.838, intensity 24
- 49.7 deg, d 1.834, intensity 24
- 57.4 deg, d 1.604, intensity 17
- 68.0 deg, d 1.378, intensity 15

Crystal structure
```
Nd4As2Se
1.0
-4.6721 4.6721 4.6935
4.6721 -4.6721 4.6935
4.6721 4.6721 -4.6935
Nd As Se
8 4 2
Cartesian
2.8649 2.3360 -0.4682
6.4792 2.3360 -0.4682
0.0000 0.5289 1.8786
4.6721 0.5289 2.8150
0.0000 4.1432 1.8786
4.6721 4.1432 2.8150
-1.8072 2.3360 5.1618
1.8072 2.3360 5.1618
4.6721 0.0000 0.0000
-2.3360 2.3360 2.3468
0.0000 0.0000 4.6935
2.3360 2.3360 2.3468
4.6721 -2.3360 3.5202
0.0000 7.0081 1.1734
```

---

# 3
This entry pairs a crystal structure of Nd4As3Se with its calculated powder diffractogram. Radiation: Cu Kα (λ = 1.5418 Å). Structure: a PBE-relaxed structure.
Peak positions follow from Bragg's law for the DFT cell and can differ from measured ones.

Principal peaks in the range 5 to 70 degrees two-theta, in order of falling intensity:
- 29.6 deg, d 3.015, intensity 100
- 42.4 deg, d 2.132, intensity 75
- 69.8 deg, d 1.348, intensity 34
- 52.6 deg, d 1.741, intensity 27
- 25.6 deg, d 3.481, intensity 17
- 61.5 deg, d 1.507, intensity 12
- 50.2 deg, d 1.818, intensity 8
- 67.7 deg, d 1.383, intensity 3

Crystal structure
```
Nd4As3Se
1.0
-3.0146 3.0146 6.0298
3.0146 -3.0146 6.0298
3.0146 3.0146 -6.0298
Nd As Se
4 3 1
Cartesian
3.0146 0.0000 0.0000
0.0000 0.0000 2.9690
0.0000 3.0146 0.0000
0.0000 0.0000 9.0906
0.0000 0.0000 0.0000
3.0146 0.0000 3.0149
0.0000 3.0146 3.0149
0.0000 0.0000 6.0298
```

---

- What is the formula in the first record?
  Nd7AsSe5

---

- Number 3 is which compound?
  Nd4As3Se